# 1
This entry pairs a crystal structure of Tm4Sc2Pb5 with its simulated XRD peak list. Radiation: Cu Kα (λ = 1.5418 Å). Structure: a GGA-PBE-relaxed structure.
Peak positions follow from Bragg's law for the DFT cell and can differ from measured ones.

Structure:
a = 9.302 Å, b = 19.929 Å, c = 6.372 Å
α = 90.00°, β = 90.00°, γ = 90.00°
Space group Ibam (No. 72)
Symmetry-distinct sites (fractional):
Tm1 0.110 0.143 0.000 [8 per cell]
Tm2 0.231 0.440 0.000 [8 per cell]
Sc1 0.000 0.304 0.250 [8 per cell]
Pb1 0.000 0.000 0.250 [4 per cell]
Pb2 0.099 0.421 0.500 [8 per cell]
Pb3 0.200 0.209 0.500 [8 per cell]

Peak list (8 most intense, 2θ from 10° to 90°, in order of rising 2θ)
two_theta  d/Å  Rel. int.  h k l
28.0  3.186  56  0 0 2
31.9  2.808  97  1 6 1
32.6  2.745  45  1 3 2
32.8  2.734  33  2 5 1
32.9  2.722  30  1 7 0
33.4  2.685  100  3 2 1
34.1  2.628  27  2 0 2
47.7  1.908  27  2 9 1

---

# 2
This entry pairs a crystal structure of Cs2OsCl5O with its simulated XRD peak list. Radiation: Cu Kα (λ = 1.5418 Å). Structure: a GGA-PBE-relaxed structure.
Peak positions follow from Bragg's law for the DFT cell and can differ from measured ones.

Structure:
a = 7.496 Å, b = 7.496 Å, c = 10.226 Å
α = 90.00°, β = 90.00°, γ = 90.00°
Space group I4mm (No. 107)
Symmetry-distinct sites (fractional):
Cs1 0.000 0.500 0.000 [4 per cell]
Os1 0.000 0.000 0.237 [2 per cell]
Cl1 0.000 0.000 0.474 [2 per cell]
Cl2 0.225 0.225 0.250 [8 per cell]
O1 0.000 0.000 0.066 [2 per cell]

Peak list (8 most intense, 2θ from 10° to 90°, in order of rising 2θ)
two_theta  d/Å  Rel. int.  h k l
14.7  6.045  99  1 0 1
23.7  3.748  42  2 0 0
24.2  3.680  100  1 1 2
28.0  3.185  27  2 1 1
29.6  3.023  27  2 0 2
33.8  2.650  52  2 2 0
42.0  2.150  44  3 1 2
49.5  1.840  30  2 2 4

---

# 3
This entry pairs a crystal structure of Ac2Pr3In with its simulated XRD peak list. Radiation: Cu Kα (λ = 1.5418 Å). Structure: a GGA-PBE-relaxed structure.
Peak positions follow from Bragg's law for the DFT cell and can differ from measured ones.

Structure:
a = 5.193 Å, b = 16.182 Å, c = 5.124 Å
α = 90.00°, β = 90.00°, γ = 90.00°
Space group Cmmm (No. 65)
Symmetry-distinct sites (fractional):
Ac1 0.000 0.163 0.000 [4 per cell]
Pr1 0.000 0.000 0.500 [2 per cell]
Pr2 0.000 0.344 0.500 [4 per cell]
In1 0.000 0.500 0.000 [2 per cell]

Peak list (8 most intense, 2θ from 10° to 90°, in order of rising 2θ)
two_theta  d/Å  Rel. int.  h k l
29.6  3.022  100  1 3 1
33.2  2.697  18  0 6 0
34.5  2.597  17  2 0 0
35.0  2.562  16  0 0 2
48.7  1.871  13  2 6 0
57.1  1.613  15  1 9 1
58.9  1.569  14  3 3 1
59.5  1.554  14  1 3 3

---

# 4
This entry pairs a crystal structure of SrAsP2O8 with its simulated XRD peak list. Radiation: Cu Kα (λ = 1.5418 Å). Structure: a GGA-PBE-relaxed structure.
Peak positions follow from Bragg's law for the DFT cell and can differ from measured ones.

Structure:
a = 4.7783 Å, b = 4.7783 Å, c = 23.3307 Å
α = 90.00°, β = 90.00°, γ = 120.00°
Space group R32 (No. 155, hexagonal axes)
Symmetry-distinct sites (fractional):
Sr1 0.0000 0.0000 0.0000 [3 per cell]
As1 0.0000 0.0000 0.5000 [3 per cell]
P1 0.0000 0.0000 0.2441 [6 per cell]
O1 0.0000 0.0000 0.3098 [6 per cell]
O2 0.0099 0.3714 0.8901 [18 per cell]

Peak list (8 most intense, 2θ from 10° to 90°, in order of rising 2θ)
two_theta  d/Å  Rel. int.  h k l
22.8  3.897  15  0 1 2
26.4  3.375  100  1 0 4
37.7  2.387  56  1 1 0
44.5  2.036  23  1 1 6
46.6  1.950  15  0 2 4
61.4  1.511  15  2 1 4
61.5  1.508  16  1 1 12
68.0  1.379  20  3 0 0

---

# 5
This entry pairs a crystal structure of Sr3CeB2O8 with its simulated XRD peak list. Radiation: Cu Kα (λ = 1.5418 Å). Structure: a GGA-PBE-relaxed structure.
Peak positions follow from Bragg's law for the DFT cell and can differ from measured ones.

Structure:
a = 5.5051 Å, b = 5.5051 Å, c = 7.0792 Å
α = 90.00°, β = 90.00°, γ = 120.00°
Space group P-3m1 (No. 164)
Symmetry-distinct sites (fractional):
Sr1 0.0000 0.0000 0.0000 [1 per cell]
Sr2 0.3333 0.6667 0.7020 [2 per cell]
Ce1 0.0000 0.0000 0.5000 [1 per cell]
B1 0.3333 0.6667 0.2228 [2 per cell]
O1 0.1852 0.3704 0.3081 [6 per cell]
O2 0.3333 0.6667 0.0245 [2 per cell]

Peak list (8 most intense, 2θ from 10° to 90°, in order of rising 2θ)
two_theta  d/Å  Rel. int.  h k l
12.5  7.079  17  0 0 1
18.6  4.768  27  1 0 0
22.5  3.954  25  0 1 1
31.5  2.842  100  0 1 2
32.5  2.753  93  1 1 0
39.9  2.259  24  2 0 1
45.9  1.977  50  2 0 2
57.4  1.606  32  1 2 2

---

# 6
This entry pairs a crystal structure of Fe13Pt3 with its simulated XRD peak list. Radiation: Cu Kα (λ = 1.5418 Å). Structure: a GGA-PBE-relaxed structure.
Peak positions follow from Bragg's law for the DFT cell and can differ from measured ones.

Structure:
a = 5.807 Å, b = 8.336 Å, c = 8.403 Å
α = 90.00°, β = 90.00°, γ = 90.00°
Space group Amm2 (No. 38)
Symmetry-distinct sites (fractional):
Fe1 0.000 0.000 0.000 [2 per cell]
Fe2 0.000 0.000 0.518 [2 per cell]
Fe3 0.000 0.238 0.758 [4 per cell]
Fe4 0.244 0.000 0.753 [4 per cell]
Fe5 0.245 0.245 0.511 [8 per cell]
Fe6 0.500 0.000 0.520 [2 per cell]
Fe7 0.500 0.242 0.758 [4 per cell]
Pt1 0.245 0.000 0.267 [4 per cell]
Pt2 0.500 0.000 0.993 [2 per cell]

Peak list (8 most intense, 2θ from 10° to 90°, in order of rising 2θ)
two_theta  d/Å  Rel. int.  h k l
15.0  5.918  22  0 1 1
21.3  4.168  14  0 2 0
43.1  2.101  25  0 0 4
43.4  2.084  26  0 4 0
43.7  2.072  100  2 2 2
62.8  1.479  15  0 4 4
79.4  1.207  15  2 2 6
79.9  1.201  15  2 6 2

---

# 7
This entry pairs a crystal structure of Ca3ScTa with its simulated XRD peak list. Radiation: Cu Kα (λ = 1.5418 Å). Structure: a GGA-PBE-relaxed structure.
Peak positions follow from Bragg's law for the DFT cell and can differ from measured ones.

Structure:
a = 5.629 Å, b = 5.629 Å, c = 5.629 Å
α = 90.00°, β = 90.00°, γ = 90.00°
Space group Pm-3m (No. 221)
Symmetry-distinct sites (fractional):
Ca1 0.000 0.000 0.500 [3 per cell]
Sc1 0.500 0.500 0.500 [1 per cell]
Ta1 0.000 0.000 0.000 [1 per cell]

Peak list (8 most intense, 2θ from 10° to 90°, in order of rising 2θ)
two_theta  d/Å  Rel. int.  h k l
15.7  5.629  100  1 0 0
22.3  3.980  95  1 1 0
31.8  2.814  74  2 0 0
35.7  2.517  55  2 1 0
39.2  2.298  45  2 1 1
45.6  1.990  53  2 2 0
48.5  1.876  29  3 0 0
61.7  1.504  24  3 2 1

---

# 8
This entry pairs a crystal structure of Sm4Ga6Rh7 with its simulated XRD peak list. Radiation: Cu Kα (λ = 1.5418 Å). Structure: a GGA-PBE-relaxed structure.
Peak positions follow from Bragg's law for the DFT cell and can differ from measured ones.

Structure:
a = 8.523 Å, b = 8.523 Å, c = 8.523 Å
α = 90.00°, β = 90.00°, γ = 90.00°
Space group Im-3m (No. 229)
Symmetry-distinct sites (fractional):
Sm1 0.250 0.250 0.250 [8 per cell]
Ga1 0.000 0.000 0.322 [12 per cell]
Rh1 0.000 0.000 0.000 [2 per cell]
Rh2 0.000 0.250 0.500 [12 per cell]

Peak list (8 most intense, 2θ from 10° to 90°, in order of rising 2θ)
two_theta  d/Å  Rel. int.  h k l
29.6  3.013  28  2 2 0
36.5  2.460  100  2 2 2
39.6  2.278  23  3 2 1
42.4  2.131  64  4 0 0
50.2  1.817  16  3 3 2
61.6  1.507  33  4 4 0
69.8  1.348  11  6 2 0
73.7  1.285  27  6 2 2

---

# 9
This entry pairs a crystal structure of CsCeTe4 with its simulated XRD peak list. Radiation: Cu Kα (λ = 1.5418 Å). Structure: a GGA-PBE-relaxed structure.
Peak positions follow from Bragg's law for the DFT cell and can differ from measured ones.

Structure:
a = 6.969 Å, b = 6.969 Å, c = 9.684 Å
α = 90.00°, β = 90.00°, γ = 90.00°
Space group P4/nbm (No. 125, origin choice 2)
Symmetry-distinct sites (fractional):
Cs1 0.250 0.250 0.000 [2 per cell]
Ce1 0.250 0.250 0.500 [2 per cell]
Te1 0.105 0.605 0.305 [8 per cell]

Peak list (8 most intense, 2θ from 10° to 90°, in order of rising 2θ)
two_theta  d/Å  Rel. int.  h k l
25.8  3.454  99  1 1 2
27.6  3.228  21  0 0 3
30.1  2.967  100  2 1 1
31.6  2.828  46  2 0 2
34.2  2.621  32  2 1 2
41.0  2.204  51  3 1 0
47.6  1.912  30  2 1 4
56.1  1.639  24  4 0 2

---

# 10
This entry pairs a crystal structure of Cs3Mg2SnF9 with its simulated XRD peak list. Radiation: Cu Kα (λ = 1.5418 Å). Structure: a GGA-PBE-relaxed structure.
Peak positions follow from Bragg's law for the DFT cell and can differ from measured ones.

Structure:
a = 6.2242 Å, b = 6.2242 Å, c = 7.6825 Å
α = 90.00°, β = 90.00°, γ = 120.00°
Space group P-3m1 (No. 164)
Symmetry-distinct sites (fractional):
Cs1 0.0000 0.0000 0.0000 [1 per cell]
Cs2 0.3333 0.6667 0.6687 [2 per cell]
Mg1 0.3333 0.6667 0.1506 [2 per cell]
Sn1 0.0000 0.0000 0.5000 [1 per cell]
F1 0.0000 0.5000 0.0000 [3 per cell]
F2 0.1806 0.3612 0.3103 [6 per cell]

Peak list (8 most intense, 2θ from 10° to 90°, in order of rising 2θ)
two_theta  d/Å  Rel. int.  h k l
20.1  4.413  27  1 0 1
28.5  3.128  100  0 1 2
28.7  3.112  95  1 1 0
35.3  2.543  35  0 2 1
40.9  2.206  77  2 0 2
50.8  1.799  58  3 0 0
59.1  1.564  23  0 2 4
59.4  1.556  23  2 2 0

---

# 11
This entry pairs a crystal structure of RbBa8P4 with its simulated XRD peak list. Radiation: Cu Kα (λ = 1.5418 Å). Structure: a GGA-PBE-relaxed structure.
Peak positions follow from Bragg's law for the DFT cell and can differ from measured ones.

Structure:
a = 16.659 Å, b = 16.659 Å, c = 4.718 Å
α = 90.00°, β = 90.00°, γ = 90.00°
Space group I4/m (No. 87)
Symmetry-distinct sites (fractional):
Rb1 0.000 0.000 0.000 [2 per cell]
Ba1 0.041 0.339 0.000 [8 per cell]
Ba2 0.155 0.802 0.500 [8 per cell]
P1 0.154 0.672 0.000 [8 per cell]

Peak list (8 most intense, 2θ from 10° to 90°, in order of rising 2θ)
two_theta  d/Å  Rel. int.  h k l
22.6  3.927  35  3 3 0
23.9  3.725  19  4 2 0
24.8  3.596  100  3 0 1
27.3  3.267  22  1 5 0
32.2  2.777  16  6 0 0
39.6  2.278  33  4 5 1
41.1  2.198  16  6 3 1
44.8  2.022  15  3 3 2